No. 1
The following is a computed PXRD pattern of Ba2NdSbO6. It was derived from DFT lattice parameters and positions (PBE), using a wavelength of 1.5418 Å.

Peak list (8 most intense, 2θ from 10° to 80°, most intense first)
| Position (°2θ) | d/Å | Rel. int. |
| --- | --- | --- |
| 29.1 | 3.072 | 100 |
| 51.5 | 1.773 | 41 |
| 41.6 | 2.172 | 29 |
| 68.3 | 1.374 | 18 |
| 60.3 | 1.536 | 18 |
| 75.9 | 1.254 | 6 |
| 35.8 | 2.508 | 1 |
| 20.4 | 4.344 | 1 |

Atomic structure:
```
data_Ba2NdSbO6
_cell_length_a 8.688
_cell_length_b 8.688
_cell_length_c 8.688
_cell_angle_alpha 90.00
_cell_angle_beta 90.00
_cell_angle_gamma 90.00
_space_group_name_H-M_alt 'P n -3'
_space_group_IT_number 201
loop_
_space_group_symop_operation_xyz
'x,y,z'
'-x,-y,-z'
'-x+1/2,-y+1/2,z'
'x+1/2,y+1/2,-z'
'x,-y+1/2,-z+1/2'
'-x,y+1/2,z+1/2'
'-x+1/2,y,-z+1/2'
'x+1/2,-y,z+1/2'
'z,x,y'
'-z,-x,-y'
'z,-x+1/2,-y+1/2'
'-z,x+1/2,y+1/2'
'-z+1/2,x,-y+1/2'
'z+1/2,-x,y+1/2'
'-z+1/2,-x+1/2,y'
'z+1/2,x+1/2,-y'
'y,z,x'
'-y,-z,-x'
'-y+1/2,z,-x+1/2'
'y+1/2,-z,x+1/2'
'-y+1/2,-z+1/2,x'
'y+1/2,z+1/2,-x'
'y,-z+1/2,-x+1/2'
'-y,z+1/2,x+1/2'
loop_
_atom_site_label
_atom_site_type_symbol
_atom_site_fract_x
_atom_site_fract_y
_atom_site_fract_z
_atom_site_occupancy
Ba1 Ba 0.250 0.250 0.250 1
Ba2 Ba 0.250 0.250 0.750 1
Nd1 Nd 0.000 0.000 0.000 1
Sb1 Sb 0.000 0.000 0.500 1
O1 O 0.014 0.515 0.768 1
```

No. 2
The following is a computed PXRD pattern of Ba2NdSbO6. It was derived from DFT lattice parameters and positions (PBE), using a wavelength of 1.5418 Å.

Peak list (8 most intense, 2θ from 10° to 80°, most intense first)
| Position (°2θ) | d/Å | Rel. int. |
| --- | --- | --- |
| 29.1 | 3.069 | 100 |
| 51.6 | 1.772 | 41 |
| 41.6 | 2.170 | 30 |
| 60.3 | 1.534 | 19 |
| 68.4 | 1.372 | 18 |
| 76.0 | 1.253 | 6 |
| 35.8 | 2.506 | 1 |
| 20.5 | 4.340 | 1 |

Atomic structure:
```
data_Ba2NdSbO6
_cell_length_a 8.679
_cell_length_b 8.679
_cell_length_c 8.679
_cell_angle_alpha 90.00
_cell_angle_beta 90.00
_cell_angle_gamma 90.00
_space_group_name_H-M_alt 'F m -3 m'
_space_group_IT_number 225
_space_group_name_Hall '-F 4 2 3'
loop_
_atom_site_label
_atom_site_type_symbol
_atom_site_fract_x
_atom_site_fract_y
_atom_site_fract_z
_atom_site_occupancy
Ba1 Ba 0.250 0.250 0.250 1
Nd1 Nd 0.000 0.000 0.000 1
Sb1 Sb 0.000 0.000 0.500 1
O1 O 0.000 0.000 0.268 1
```

No. 3
The following is a computed PXRD pattern of Ba2NdSbO6. It was derived from DFT lattice parameters and positions (PBE), using a wavelength of 1.5418 Å.

Peak list (10 most intense, 2θ from 10° to 80°, most intense first)
| Position (°2θ) | d/Å | Rel. int. |
| --- | --- | --- |
| 29.2 | 3.057 | 100 |
| 29.1 | 3.071 | 100 |
| 51.6 | 1.771 | 63 |
| 41.7 | 2.167 | 57 |
| 51.9 | 1.763 | 20 |
| 68.6 | 1.369 | 18 |
| 68.4 | 1.372 | 18 |
| 60.6 | 1.529 | 18 |
| 60.3 | 1.536 | 18 |
| 76.0 | 1.253 | 9 |

Atomic structure:
```
data_Ba2NdSbO6
_cell_length_a 6.1422
_cell_length_b 6.1422
_cell_length_c 14.9445
_cell_angle_alpha 90.00
_cell_angle_beta 90.00
_cell_angle_gamma 120.00
_space_group_name_H-M_alt 'R -3'
_space_group_IT_number 148
_space_group_name_Hall '-R 3'
loop_
_atom_site_label
_atom_site_type_symbol
_atom_site_fract_x
_atom_site_fract_y
_atom_site_fract_z
_atom_site_occupancy
Ba1 Ba 0.0000 0.0000 0.2491 1
Nd1 Nd 0.0000 0.0000 0.5000 1
Sb1 Sb 0.0000 0.0000 0.0000 1
O1 O 0.0255 0.4736 0.7446 1
```

No. 4
The following is a computed PXRD pattern of BaNd2Sc2O7. It was derived from DFT lattice parameters and positions (PBE), using a wavelength of 1.5418 Å.

Peak list (10 most intense, 2θ from 10° to 80°, most intense first)
| Position (°2θ) | d/Å | Rel. int. |
| --- | --- | --- |
| 30.7 | 2.910 | 100 |
| 30.5 | 2.927 | 61 |
| 54.4 | 1.687 | 37 |
| 43.7 | 2.070 | 33 |
| 21.9 | 4.057 | 27 |
| 40.6 | 2.221 | 26 |
| 26.1 | 3.409 | 16 |
| 54.8 | 1.677 | 15 |
| 72.2 | 1.308 | 14 |
| 54.1 | 1.696 | 13 |

Atomic structure:
```
data_BaNd2Sc2O7
_cell_length_a 5.854
_cell_length_b 5.854
_cell_length_c 20.454
_cell_angle_alpha 90.00
_cell_angle_beta 90.00
_cell_angle_gamma 90.00
_space_group_name_H-M_alt 'P 42/m n m'
_space_group_IT_number 136
_space_group_name_Hall '-P 4n 2n'
loop_
_atom_site_label
_atom_site_type_symbol
_atom_site_fract_x
_atom_site_fract_y
_atom_site_fract_z
_atom_site_occupancy
Ba1 Ba 0.238 0.238 0.000 1
Nd1 Nd 0.223 0.223 0.184 1
Sc1 Sc 0.242 0.242 0.398 1
O1 O 0.000 0.000 0.094 1
O2 O 0.000 0.000 0.370 1
O3 O 0.000 0.500 0.114 1
O4 O 0.186 0.814 0.210 1
O5 O 0.216 0.216 0.500 1
```

No. 5
The following is a computed PXRD pattern of Ba6Nd2Ti4O17. It was derived from DFT lattice parameters and positions (PBE), using a wavelength of 1.5418 Å.

Peak list (10 most intense, 2θ from 10° to 80°, most intense first)
| Position (°2θ) | d/Å | Rel. int. |
| --- | --- | --- |
| 29.4 | 3.033 | 100 |
| 28.9 | 3.085 | 76 |
| 41.8 | 2.163 | 40 |
| 51.9 | 1.761 | 29 |
| 26.6 | 3.353 | 22 |
| 61.1 | 1.517 | 21 |
| 52.2 | 1.751 | 20 |
| 69.0 | 1.361 | 14 |
| 40.1 | 2.249 | 13 |
| 48.0 | 1.895 | 8 |

Atomic structure:
```
data_Ba6Nd2Ti4O17
_cell_length_a 6.0666
_cell_length_b 6.0666
_cell_length_c 30.4833
_cell_angle_alpha 90.00
_cell_angle_beta 90.00
_cell_angle_gamma 120.00
_space_group_name_H-M_alt 'P 63/m m c'
_space_group_IT_number 194
_space_group_name_Hall '-P 6c 2c'
loop_
_atom_site_label
_atom_site_type_symbol
_atom_site_fract_x
_atom_site_fract_y
_atom_site_fract_z
_atom_site_occupancy
Ba1 Ba 0.0000 0.0000 0.0000 1
Ba2 Ba 0.0000 0.0000 0.2500 1
Ba3 Ba 0.3333 0.6667 0.0888 1
Ba4 Ba 0.3333 0.6667 0.6868 1
Nd1 Nd 0.0000 0.0000 0.1264 1
Ti1 Ti 0.3333 0.6667 0.2042 1
Ti2 Ti 0.3333 0.6667 0.5526 1
O1 O 0.0370 0.5185 0.2500 1
O2 O 0.1699 0.3398 0.5749 1
O3 O 0.1782 0.3564 0.1710 1
O4 O 0.3333 0.6667 0.0058 1
```

No. 6
The following is a computed PXRD pattern of BaNdZr2O6. It was derived from DFT lattice parameters and positions (PBE), using a wavelength of 1.5418 Å.

Peak list (10 most intense, 2θ from 10° to 80°, most intense first)
| Position (°2θ) | d/Å | Rel. int. |
| --- | --- | --- |
| 30.1 | 2.973 | 100 |
| 53.3 | 1.718 | 27 |
| 43.1 | 2.100 | 21 |
| 53.4 | 1.715 | 13 |
| 62.4 | 1.488 | 13 |
| 42.9 | 2.107 | 10 |
| 37.0 | 2.428 | 7 |
| 62.5 | 1.485 | 6 |
| 78.9 | 1.214 | 6 |
| 70.7 | 1.332 | 6 |

Atomic structure:
```
data_BaNdZr2O6
_cell_length_a 8.394
_cell_length_b 8.407
_cell_length_c 8.429
_cell_angle_alpha 90.00
_cell_angle_beta 90.00
_cell_angle_gamma 90.00
_space_group_name_H-M_alt 'P m m m'
_space_group_IT_number 47
loop_
_space_group_symop_operation_xyz
'x,y,z'
'-x,-y,-z'
'-x,-y,z'
'x,y,-z'
'x,-y,-z'
'-x,y,z'
'-x,y,-z'
'x,-y,z'
loop_
_atom_site_label
_atom_site_type_symbol
_atom_site_fract_x
_atom_site_fract_y
_atom_site_fract_z
_atom_site_occupancy
Ba1 Ba 0.000 0.000 0.000 1
Ba2 Ba 0.000 0.500 0.000 1
Ba3 Ba 0.500 0.000 0.000 1
Ba4 Ba 0.500 0.500 0.500 1
Nd1 Nd 0.000 0.000 0.500 1
Nd2 Nd 0.000 0.500 0.500 1
Nd3 Nd 0.500 0.000 0.500 1
Nd4 Nd 0.500 0.500 0.000 1
Zr1 Zr 0.251 0.251 0.253 1
O1 O 0.000 0.248 0.267 1
O2 O 0.244 0.500 0.261 1
O3 O 0.245 0.245 0.500 1
O4 O 0.248 0.000 0.267 1
O5 O 0.257 0.257 0.000 1
O6 O 0.500 0.244 0.261 1
```

No. 7
The following is a computed PXRD pattern of BaNdZr2O6. It was derived from DFT lattice parameters and positions (PBE), using a wavelength of 1.5418 Å.

Peak list (10 most intense, 2θ from 10° to 80°, most intense first)
| Position (°2θ) | d/Å | Rel. int. |
| --- | --- | --- |
| 30.0 | 2.977 | 100 |
| 53.2 | 1.721 | 27 |
| 42.9 | 2.110 | 21 |
| 53.4 | 1.715 | 14 |
| 62.5 | 1.487 | 12 |
| 70.6 | 1.334 | 12 |
| 43.2 | 2.096 | 10 |
| 37.0 | 2.431 | 7 |
| 62.2 | 1.492 | 6 |
| 78.7 | 1.216 | 6 |

Atomic structure:
```
data_BaNdZr2O6
_cell_length_a 4.220
_cell_length_b 4.220
_cell_length_c 8.385
_cell_angle_alpha 90.00
_cell_angle_beta 90.00
_cell_angle_gamma 90.00
_space_group_name_H-M_alt 'P 4/m m m'
_space_group_IT_number 123
_space_group_name_Hall '-P 4 2'
loop_
_atom_site_label
_atom_site_type_symbol
_atom_site_fract_x
_atom_site_fract_y
_atom_site_fract_z
_atom_site_occupancy
Ba1 Ba 0.000 0.000 0.000 1
Nd1 Nd 0.000 0.000 0.500 1
Zr1 Zr 0.500 0.500 0.256 1
O1 O 0.000 0.500 0.273 1
O2 O 0.500 0.500 0.000 1
O3 O 0.500 0.500 0.500 1
```

No. 8
The following is a computed PXRD pattern of BaNdZr2O6. It was derived from DFT lattice parameters and positions (PBE), using a wavelength of 1.5418 Å.

Peak list (10 most intense, 2θ from 10° to 80°, most intense first)
| Position (°2θ) | d/Å | Rel. int. |
| --- | --- | --- |
| 30.0 | 2.977 | 100 |
| 53.3 | 1.719 | 40 |
| 43.0 | 2.105 | 31 |
| 62.4 | 1.488 | 19 |
| 70.8 | 1.331 | 17 |
| 37.0 | 2.430 | 7 |
| 78.7 | 1.215 | 6 |
| 74.8 | 1.269 | 2 |
| 21.1 | 4.210 | 2 |
| 48.3 | 1.883 | 1 |

Atomic structure:
```
data_BaNdZr2O6
_cell_length_a 8.419
_cell_length_b 8.419
_cell_length_c 8.419
_cell_angle_alpha 90.00
_cell_angle_beta 90.00
_cell_angle_gamma 90.00
_space_group_name_H-M_alt 'P m -3 m'
_space_group_IT_number 221
_space_group_name_Hall '-P 4 2 3'
loop_
_atom_site_label
_atom_site_type_symbol
_atom_site_fract_x
_atom_site_fract_y
_atom_site_fract_z
_atom_site_occupancy
Ba1 Ba 0.000 0.000 0.000 1
Ba2 Ba 0.000 0.000 0.500 1
Nd1 Nd 0.000 0.500 0.500 1
Nd2 Nd 0.500 0.500 0.500 1
Zr1 Zr 0.252 0.252 0.252 1
O1 O 0.000 0.261 0.261 1
O2 O 0.260 0.260 0.500 1
```

No. 9
The following is a computed PXRD pattern of BaNdZr2O6. It was derived from DFT lattice parameters and positions (PBE), using a wavelength of 1.5418 Å.

Peak list (10 most intense, 2θ from 10° to 80°, most intense first)
| Position (°2θ) | d/Å | Rel. int. |
| --- | --- | --- |
| 30.5 | 2.928 | 100 |
| 29.8 | 2.995 | 94 |
| 30.2 | 2.957 | 89 |
| 53.0 | 1.728 | 42 |
| 54.3 | 1.689 | 41 |
| 53.6 | 1.710 | 40 |
| 42.2 | 2.140 | 32 |
| 43.2 | 2.096 | 27 |
| 44.3 | 2.045 | 24 |
| 62.0 | 1.498 | 17 |

Atomic structure:
```
data_BaNdZr2O6
_cell_length_a 8.181
_cell_length_b 8.386
_cell_length_c 4.281
_cell_angle_alpha 90.00
_cell_angle_beta 90.00
_cell_angle_gamma 90.00
_space_group_name_H-M_alt 'C m m m'
_space_group_IT_number 65
_space_group_name_Hall '-C 2 2'
loop_
_atom_site_label
_atom_site_type_symbol
_atom_site_fract_x
_atom_site_fract_y
_atom_site_fract_z
_atom_site_occupancy
Ba1 Ba 0.000 0.000 0.000 1
Nd1 Nd 0.000 0.500 0.000 1
Zr1 Zr 0.250 0.250 0.500 1
O1 O 0.000 0.196 0.500 1
O2 O 0.181 0.500 0.500 1
O3 O 0.250 0.250 0.000 1
```